No. 1
Simulated PXRD pattern of BaCr4O8 for Cu Kα, from a crystal structure in the Materials Project, relaxed with GGA+U.

Structural model:
Unit cell a=5.6175 b=5.6175 c=7.9440 alpha=90.00 beta=90.00 gamma=120.00
Space group P-31m (No. 162)
Symmetry-distinct sites (fractional):
Ba1 0.0000 0.0000 0.0000 x1
Cr1 0.3333 0.6667 0.2333 x4
O1 0.0000 0.3638 0.2853 x6
O2 0.3333 0.6667 0.0000 x2

Largest 8 diffraction maxima, by angle, 15 to 90 degrees two-theta:
| hkl | 2theta | I/Imax |
| --- | --- | --- |
| 1 0 1 | 21.4 | 43 |
| 1 0 2 | 29.0 | 100 |
| 1 1 0 | 31.9 | 82 |
| 2 -1 1 | 33.9 | 63 |
| 1 0 3 | 38.7 | 26 |
| 2 0 2 | 43.6 | 24 |
| 3 -1 2 | 55.0 | 29 |
| 3 0 0 | 56.8 | 55 |

No. 2
Simulated PXRD pattern of FePH5CO4 for Cu Kα, from a crystal structure in the Materials Project, relaxed with GGA+U.

Structural model:
Unit cell a=5.7882 b=9.0798 c=9.6988 alpha=90.06 beta=90.14 gamma=90.04
Space group P1 (No. 1)
Symmetry-distinct sites (fractional):
Fe1 0.0000 0.0000 0.0000 x1
Fe2 0.0097 0.0001 0.5005 x1
Fe3 0.4970 0.9489 0.2498 x1
Fe4 0.5148 0.9510 0.7498 x1
P1 0.0193 0.7866 0.7820 x1
P2 0.4988 0.1638 0.0324 x1
P3 0.5105 0.1649 0.5324 x1
P4 0.9942 0.7857 0.2823 x1
H1 0.0023 0.5752 0.9294 x1
H2 0.0089 0.5746 0.4306 x1
H3 0.1408 0.1710 0.2871 x1
H4 0.1427 0.1701 0.7861 x1
H5 0.1565 0.5369 0.7737 x1
H6 0.1615 0.5435 0.2726 x1
H7 0.3441 0.4075 0.5236 x1
H8 0.3574 0.4124 0.0232 x1
H9 0.3658 0.7719 0.5544 x1
H10 0.3842 0.7861 0.0195 x1
H11 0.5028 0.3770 0.6799 x1
H12 0.5077 0.3750 0.1809 x1
H13 0.6321 0.7862 0.5220 x1
H14 0.6493 0.7698 0.0561 x1
H15 0.6526 0.4136 0.5223 x1
H16 0.6659 0.4063 0.0250 x1
H17 0.8481 0.5454 0.7713 x1
H18 0.8531 0.5367 0.2749 x1
H19 0.8698 0.1686 0.2852 x1
H20 0.8725 0.1717 0.7832 x1
C1 0.0050 0.5922 0.8175 x1
C2 0.0058 0.5914 0.3186 x1
C3 0.5014 0.3595 0.5679 x1
C4 0.5086 0.3582 0.0689 x1
O1 0.0042 0.1781 0.3470 x1
O2 0.0063 0.1793 0.8458 x1
O3 0.0297 0.8093 0.6260 x1
O4 0.2109 0.8607 0.3503 x1
O5 0.2333 0.8524 0.8596 x1
O6 0.2769 0.0989 0.1020 x1
O7 0.3025 0.0895 0.6087 x1
O8 0.4938 0.7705 0.0966 x1
O9 0.5034 0.1409 0.3769 x1
O10 0.5057 0.1411 0.8767 x1
O11 0.5197 0.7720 0.5975 x1
O12 0.7063 0.0873 0.1086 x1
O13 0.7326 0.1007 0.6031 x1
O14 0.7815 0.8528 0.3601 x1
O15 0.8041 0.8624 0.8501 x1
O16 0.9820 0.8080 0.1266 x1

Largest 8 diffraction maxima, by angle, 15 to 90 degrees two-theta:
| hkl | 2theta | I/Imax |
| --- | --- | --- |
| 1 1 0 | 18.2 | 31 |
| 0 1 2 | 20.8 | 36 |
| 1 -1 2 | 25.9 | 60 |
| 2 0 0 | 30.9 | 41 |
| -1 2 2 | 31.1 | 100 |
| 2 1 0 | 32.5 | 18 |
| 1 3 -2 | 38.4 | 58 |
| 2 2 2 | 41.4 | 19 |

No. 3
Simulated PXRD pattern of FeOF for Cu Kα, from a crystal structure in the Materials Project, relaxed with GGA+U.

Structural model:
Unit cell a=9.5103 b=9.5103 c=6.1331 alpha=90.00 beta=90.00 gamma=90.00
Space group I4_1/a (No. 88, origin choice 2)
Symmetry-distinct sites (fractional):
Fe1 0.0128 0.0145 0.2337 x16
O1 0.0956 0.4027 0.9966 x16
F1 0.0976 0.4037 0.5036 x16

Largest 8 diffraction maxima, by angle, 15 to 90 degrees two-theta:
| hkl | 2theta | I/Imax |
| --- | --- | --- |
| 2 2 0 | 26.5 | 100 |
| 2 0 2 | 34.8 | 49 |
| 2 2 2 | 39.8 | 18 |
| 2 4 2 | 52.4 | 55 |
| 4 4 0 | 54.6 | 16 |
| 0 0 4 | 60.4 | 8 |
| 6 0 2 | 66.4 | 19 |
| 2 2 4 | 67.1 | 10 |

No. 4
Simulated PXRD pattern of MgCo6O2F10 for Cu Kα, from a crystal structure in the Materials Project, relaxed with GGA+U.

Structural model:
Unit cell a=5.2730 b=5.3106 c=9.9121 alpha=81.01 beta=75.35 gamma=77.45
Space group P1 (No. 1)
Symmetry-distinct sites (fractional):
Mg1 0.0000 0.0000 0.0000 x1
Co1 0.0443 0.2867 0.4324 x1
Co2 0.1093 0.5503 0.8028 x1
Co3 0.3835 0.3069 0.0725 x1
Co4 0.4444 0.7752 0.2880 x1
Co5 0.5405 0.8253 0.5525 x1
Co6 0.6831 0.2661 0.7456 x1
O1 0.2972 0.9777 0.4362 x1
O2 0.4615 0.5928 0.7123 x1
F1 0.0211 0.4215 0.6316 x1
F2 0.1117 0.0788 0.1646 x1
F3 0.1590 0.6303 0.0033 x1
F4 0.3131 0.1694 0.8938 x1
F5 0.3241 0.4640 0.2576 x1
F6 0.6422 0.9627 0.1179 x1
F7 0.7336 0.1057 0.5636 x1
F8 0.7605 0.5906 0.3886 x1
F9 0.7675 0.3621 0.9422 x1
F10 0.9036 0.9294 0.8244 x1

Largest 8 diffraction maxima, by angle, 15 to 90 degrees two-theta:
| hkl | 2theta | I/Imax |
| --- | --- | --- |
| 0 1 1 | 18.7 | 23 |
| 1 1 1 | 21.8 | 100 |
| 1 1 -1 | 26.4 | 40 |
| 1 -1 1 | 27.9 | 51 |
| 0 1 3 | 31.4 | 26 |
| 1 1 4 | 38.6 | 25 |
| 2 1 -1 | 40.6 | 20 |
| 1 2 4 | 46.7 | 25 |

No. 5
Simulated PXRD pattern of K3FePCO7 for Cu Kα, from a crystal structure in the Materials Project, relaxed with GGA+U.

Structural model:
Unit cell a=5.6920 b=6.8675 c=9.7433 alpha=89.94 beta=89.97 gamma=89.95
Space group P-1 (No. 2)
Symmetry-distinct sites (fractional):
K1 0.2427 0.2507 0.0728 x2
K2 0.2552 0.5093 0.7181 x2
K3 0.2561 0.9909 0.7188 x2
Fe1 0.2367 0.7498 0.3526 x2
P1 0.2726 0.2498 0.4203 x2
C1 0.2568 0.7499 0.0801 x2
O1 0.0574 0.7500 0.1473 x2
O2 0.0913 0.2499 0.5387 x2
O3 0.2386 0.0659 0.3272 x2
O4 0.2391 0.4341 0.3272 x2
O5 0.2615 0.7491 0.9475 x2
O6 0.4510 0.7501 0.1523 x2
O7 0.4716 0.7506 0.5225 x2

Largest 8 diffraction maxima, by angle, 15 to 90 degrees two-theta:
| hkl | 2theta | I/Imax |
| --- | --- | --- |
| 0 2 0 | 25.9 | 21 |
| 2 0 0 | 31.4 | 40 |
| 1 0 -3 | 31.8 | 100 |
| 0 2 -2 | 31.9 | 36 |
| 2 0 -3 | 42.2 | 25 |
| 2 -2 2 | 45.4 | 14 |
| 0 4 0 | 53.4 | 13 |
| 3 0 -3 | 56.2 | 14 |

No. 6
Simulated PXRD pattern of SrYCoO4 for Cu Kα, from a crystal structure in the Materials Project, relaxed with GGA+U.

Structural model:
Unit cell a=5.3144 b=6.7828 c=10.9052 alpha=89.98 beta=89.92 gamma=67.00
Space group P1 (No. 1)
Symmetry-distinct sites (fractional):
Sr1 0.0000 0.0000 0.0000 x1
Sr2 0.0020 0.0023 0.5045 x1
Sr3 0.4956 0.9996 0.7591 x1
Sr4 0.5076 0.0023 0.2557 x1
Y1 0.2760 0.4259 0.5177 x1
Y2 0.3062 0.4248 0.0163 x1
Y3 0.7715 0.4268 0.7422 x1
Y4 0.8114 0.4243 0.2430 x1
Co1 0.1455 0.7037 0.7565 x1
Co2 0.1529 0.7092 0.2540 x1
Co3 0.6484 0.7050 0.0033 x1
Co4 0.6477 0.7122 0.5044 x1
O1 0.2807 0.3811 0.2245 x1
O2 0.3396 0.3721 0.7187 x1
O3 0.3814 0.7178 0.6306 x1
O4 0.3895 0.7237 0.1329 x1
O5 0.4194 0.6619 0.8815 x1
O6 0.4475 0.6438 0.3818 x1
O7 0.4585 0.0769 0.9882 x1
O8 0.4702 0.0668 0.4895 x1
O9 0.7735 0.3719 0.0429 x1
O10 0.8467 0.3811 0.5349 x1
O11 0.8863 0.7164 0.1242 x1
O12 0.8863 0.7219 0.6315 x1
O13 0.9310 0.6764 0.3783 x1
O14 0.9328 0.6334 0.8786 x1
O15 0.9593 0.0785 0.7710 x1
O16 0.9714 0.0699 0.2715 x1

Largest 8 diffraction maxima, by angle, 15 to 90 degrees two-theta:
| hkl | 2theta | I/Imax |
| --- | --- | --- |
| 1 -1 2 | 31.9 | 100 |
| 0 0 4 | 32.9 | 33 |
| 2 1 0 | 33.7 | 33 |
| 1 3 -2 | 43.3 | 15 |
| 0 3 0 | 43.5 | 15 |
| 2 1 4 | 47.8 | 35 |
| 1 2 6 | 58.0 | 19 |
| 3 0 -2 | 59.2 | 20 |

No. 7
Simulated PXRD pattern of LiMn3B3O9 for Cu Kα, from a crystal structure in the Materials Project, relaxed with GGA+U.

Structural model:
Unit cell a=6.1897 b=7.7664 c=9.0387 alpha=111.60 beta=107.11 gamma=96.99
Space group P-1 (No. 2)
Symmetry-distinct sites (fractional):
Li1 0.0109 0.3353 0.2837 x2
Mn1 0.0242 0.2787 0.9265 x2
Mn2 0.3175 0.0640 0.7263 x2
Mn3 0.3917 0.6427 0.6211 x2
B1 0.0499 0.2974 0.5975 x2
B2 0.2760 0.0154 0.0412 x2
B3 0.3635 0.6284 0.2815 x2
O1 0.0564 0.1860 0.6932 x2
O2 0.1048 0.7858 0.5721 x2
O3 0.1179 0.8406 0.9551 x2
O4 0.1753 0.4812 0.6783 x2
O5 0.2003 0.5721 0.1175 x2
O6 0.2763 0.1454 0.9661 x2
O7 0.3396 0.5029 0.3567 x2
O8 0.4463 0.0709 0.2021 x2
O9 0.4712 0.2014 0.6318 x2

Largest 8 diffraction maxima, by angle, 15 to 90 degrees two-theta:
| hkl | 2theta | I/Imax |
| --- | --- | --- |
| 1 1 -1 | 19.5 | 62 |
| 0 1 1 | 20.4 | 22 |
| 0 1 -2 | 20.8 | 18 |
| 1 0 1 | 22.4 | 100 |
| 1 2 0 | 33.4 | 27 |
| 2 -2 0 | 35.1 | 46 |
| 2 1 -3 | 37.2 | 20 |
| 2 2 -5 | 53.9 | 19 |